Starting from the PBE geometry in Alexandria, the XRD peak list of La5Tb2YTh was computed for Cu Kα.
Kinematic intensities with the Lorentz-polarization factor, no thermal factor.

Peak list (8 most intense, 2θ from 5° to 70°, by angle)
2θ (°)  d [Å]  intensity
26.24  3.396  14
30.14  2.965  20
31.00  2.885  100
32.41  2.763  45
33.56  2.671  19
47.36  1.919  15
47.60  1.910  10
56.97  1.616  19

Unit cell a=11.274 b=11.274 c=10.682 alpha=90.00 beta=90.00 gamma=151.65
Positions (direct):
La: 0.000 0.000 0.000
La: 0.000 0.000 0.500
La: 0.128 0.872 0.750
La: 0.224 0.776 0.058
La: 0.224 0.776 0.442
La: 0.498 0.502 0.250
La: 0.502 0.498 0.750
La: 0.776 0.224 0.558
La: 0.776 0.224 0.942
La: 0.872 0.128 0.250
Tb: 0.388 0.612 0.507
Tb: 0.388 0.612 0.993
Tb: 0.612 0.388 0.007
Tb: 0.612 0.388 0.493
Y: 0.102 0.898 0.250
Y: 0.898 0.102 0.750
Th: 0.288 0.712 0.750
Th: 0.712 0.288 0.250

=====

Starting from the PBE geometry in Alexandria, the XRD peak list of Pr2Sm3Tm6 was computed for Cu Kα.
Kinematic intensities with the Lorentz-polarization factor, no thermal factor.

Peak list (8 most intense, 2θ from 5° to 70°, by angle)
2θ (°)  d [Å]  intensity
28.71  3.110  100
30.75  2.908  25
34.41  2.607  80
37.92  2.373  61
50.75  1.799  25
54.71  1.678  21
62.94  1.477  22
66.25  1.411  24

Unit cell a=16.892 b=16.892 c=16.892 alpha=163.85 beta=163.85 gamma=22.92
Positions (direct):
Pr: 0.047 0.047 0.000
Pr: 0.953 0.953 0.000
Sm: 0.296 0.296 0.000
Sm: 0.500 0.500 0.000
Sm: 0.704 0.704 0.000
Tm: 0.122 0.622 0.500
Tm: 0.192 0.192 0.000
Tm: 0.378 0.878 0.500
Tm: 0.622 0.122 0.500
Tm: 0.808 0.808 0.000
Tm: 0.878 0.378 0.500